Entry 1:
# BaBi2Pb2
Computed powder X-ray diffraction pattern, a wavelength of 1.5418 Å. Input: a crystal structure in Alexandria, relaxed with GGA-PBE.

Most intense lines, 2θ from 15° to 90°, by intensity:
- 2θ 29.72, intensity 1000
- 2θ 61.69, intensity 207
- 2θ 36.05, intensity 184
- 2θ 36.59, intensity 181
- 2θ 30.42, intensity 148
- 2θ 52.31, intensity 141
- 2θ 60.96, intensity 136
- 2θ 47.87, intensity 87
- 2θ 48.30, intensity 78
- 2θ 66.06, intensity 70

Structural model:
```
data_BaBi2Pb2
_cell_length_a 14.9005
_cell_length_b 14.9005
_cell_length_c 4.9123
_cell_angle_alpha 90.00
_cell_angle_beta 90.00
_cell_angle_gamma 160.75
_symmetry_space_group_name_H-M 'P 1'
_symmetry_Int_Tables_number 1
loop_
_symmetry_equiv_pos_as_xyz
'x,y,z'
loop_
_atom_site_label
_atom_site_fract_x
_atom_site_fract_y
_atom_site_fract_z
Ba1 0.1573 0.8427 0.7500
Ba2 0.8427 0.1573 0.2500
Bi1 0.2512 0.7488 0.2500
Bi2 0.3788 0.6212 0.7500
Bi3 0.6212 0.3788 0.2500
Bi4 0.7488 0.2512 0.7500
Pb1 0.0428 0.9572 0.2500
Pb2 0.4524 0.5476 0.2500
Pb3 0.5476 0.4524 0.7500
Pb4 0.9572 0.0428 0.7500
```

---

Entry 2:
# Ni4Pd2Pt
Computed powder X-ray diffraction pattern, a wavelength of 1.5418 Å. Input: a crystal structure in Alexandria, relaxed with GGA-PBE.

Most intense lines, 2θ from 15° to 90°, by intensity:
- 2θ 44.66, intensity 1000
- 2θ 40.74, intensity 749
- 2θ 43.85, intensity 681
- 2θ 33.60, intensity 533
- 2θ 45.85, intensity 462
- 2θ 53.80, intensity 282
- 2θ 29.66, intensity 270
- 2θ 39.14, intensity 266
- 2θ 27.95, intensity 255
- 2θ 76.89, intensity 192

Structural model:
```
data_Ni4Pd2Pt
_cell_length_a 4.1996
_cell_length_b 4.1996
_cell_length_c 12.0468
_cell_angle_alpha 90.00
_cell_angle_beta 90.00
_cell_angle_gamma 116.34
_symmetry_space_group_name_H-M 'P 1'
_symmetry_Int_Tables_number 1
loop_
_symmetry_equiv_pos_as_xyz
'x,y,z'
loop_
_atom_site_label
_atom_site_fract_x
_atom_site_fract_y
_atom_site_fract_z
Ni1 0.0000 0.0000 0.0000
Ni2 0.0000 0.0000 0.5000
Ni3 0.2452 0.7548 0.6533
Ni4 0.2452 0.7548 0.8467
Ni5 0.4455 0.5545 0.2500
Ni6 0.5545 0.4455 0.7500
Ni7 0.7548 0.2452 0.1533
Ni8 0.7548 0.2452 0.3467
Pd1 0.3373 0.6627 0.0554
Pd2 0.3373 0.6627 0.4446
Pd3 0.6627 0.3373 0.5554
Pd4 0.6627 0.3373 0.9446
Pt1 0.0956 0.9044 0.2500
Pt2 0.9044 0.0956 0.7500
```

---

Entry 3:
# Pr3Zn4Ag4
Computed powder X-ray diffraction pattern, a wavelength of 1.5418 Å. Input: a crystal structure in Alexandria, relaxed with GGA-PBE.

Most intense lines, 2θ from 15° to 90°, by intensity:
- 2θ 33.16, intensity 1000
- 2θ 32.39, intensity 429
- 2θ 40.36, intensity 403
- 2θ 39.37, intensity 306
- 2θ 51.87, intensity 224
- 2θ 64.32, intensity 194
- 2θ 47.83, intensity 173
- 2θ 63.61, intensity 142
- 2θ 67.46, intensity 121
- 2θ 34.72, intensity 83

Structural model:
```
data_Pr3Zn4Ag4
_cell_length_a 14.3920
_cell_length_b 14.3920
_cell_length_c 4.5772
_cell_angle_alpha 99.10
_cell_angle_beta 99.10
_cell_angle_gamma 15.19
_symmetry_space_group_name_H-M 'P 1'
_symmetry_Int_Tables_number 1
loop_
_symmetry_equiv_pos_as_xyz
'x,y,z'
loop_
_atom_site_label
_atom_site_fract_x
_atom_site_fract_y
_atom_site_fract_z
Pr1 0.0000 0.0000 0.0000
Pr2 0.1438 0.1438 0.6452
Pr3 0.8562 0.8562 0.3548
Zn1 0.3100 0.3100 0.8090
Zn2 0.4536 0.4536 0.4531
Zn3 0.5464 0.5464 0.5469
Zn4 0.6900 0.6900 0.1910
Ag1 0.2573 0.2573 0.2571
Ag2 0.4048 0.4048 0.9043
Ag3 0.5952 0.5952 0.0957
Ag4 0.7427 0.7427 0.7429
```